For Np2SbS6, a cell relaxed with PBE gives the calculated powder diffraction line list in this record (Cu Kα (weighted mean of Kα1 and Kα2)).

Structure:
a b c (Å): 6.219 6.219 12.216
angles (deg): 90.00 90.00 90.00
Element x y z (fractional)
1 Np 0.000 0.000 0.167
2 Np 0.000 0.000 0.833
3 Np 0.500 0.500 0.333
4 Np 0.500 0.500 0.667
5 Sb 0.000 0.000 0.500
6 Sb 0.500 0.500 0.000
7 S 0.189 0.189 0.000
8 S 0.196 0.196 0.329
9 S 0.196 0.196 0.671
10 S 0.304 0.696 0.171
11 S 0.304 0.696 0.829
12 S 0.311 0.689 0.500
13 S 0.689 0.311 0.500
14 S 0.696 0.304 0.171
15 S 0.696 0.304 0.829
16 S 0.804 0.804 0.329
17 S 0.804 0.804 0.671
18 S 0.811 0.811 0.000

Principal peaks in the range 10 to 90 degrees two-theta, sorted by position:
| 2θ/deg | d/Å | Rel. int. | hkl |
| --- | --- | --- | --- |
| 20.2 | 4.398 | 100 | 1 1 0 |
| 26.2 | 3.407 | 76 | 1 0 3 |
| 28.7 | 3.110 | 21 | 2 0 0 |
| 39.2 | 2.297 | 81 | 2 1 3 |
| 41.0 | 2.199 | 22 | 2 2 0 |
| 46.2 | 1.967 | 18 | 3 1 0 |
| 49.3 | 1.848 | 49 | 3 0 3 |
| 66.1 | 1.415 | 27 | 4 1 3 |
| 78.4 | 1.220 | 17 | 5 1 0 |
| 80.8 | 1.190 | 18 | 3 3 6 |